Computed X-ray diffraction stick pattern
Compound: HgTe2PdAu
Radiation: copper Kα
Structure: a crystal structure in Alexandria, relaxed with PBE
Lines closer than 0.1° are merged.

Peak list (6 most intense, 2θ = 5–70°, in order of falling intensity)
Position (°2θ)  intensity
40.6  100
27.5  60
26.5  36
30.1  33
36.4  30
38.6  27

Crystal structure
Cell: 5.9374 17.7848 5.1307 Å, 90.00 90.00 90.00°
Space group Cmme (No. 67)
Symmetry-distinct sites (fractional):
Hg: 0.0000 0.2500 0.1586 (multiplicity 4)
Te: 0.0000 0.1184 0.6491 (multiplicity 8)
Pd: 0.2500 0.0000 0.5000 (multiplicity 4)
Au: 0.0000 0.0000 0.0000 (multiplicity 4)